Starting from a DFT-relaxed cell (GGA-PBE, Alexandria), the X-ray diffraction stick pattern of GaSnPb was calculated for Cu Kα (λ = 1.5418 Å).

Crystal structure
```
data_GaSnPb
_chemical_formula_sum 'Ga4 Sn4 Pb4'
_symmetry_space_group_name_H-M 'C 1 2/m 1'
_symmetry_Int_Tables_number 12
_cell_length_a 9.995
_cell_length_b 6.383
_cell_length_c 5.560
_cell_angle_alpha 90.00
_cell_angle_beta 115.60
_cell_angle_gamma 90.00
loop_
_symmetry_equiv_pos_as_xyz
'x,y,z'
'-x,-y,-z'
'-x,y,-z'
'x,-y,z'
'x+1/2,y+1/2,z'
'-x+1/2,-y+1/2,-z'
'-x+1/2,y+1/2,-z'
'x+1/2,-y+1/2,z'
loop_
_atom_site_label
_atom_site_type_symbol
_atom_site_fract_x
_atom_site_fract_y
_atom_site_fract_z
_atom_site_occupancy
Ga1 Ga 0.033 0.000 0.277 1
Sn1 Sn 0.250 0.250 0.000 1
Pb1 Pb 0.129 0.500 0.388 1
```

The 8 most intense peaks (2θ = 10–90°), low angle first:
hkl, 2theta, intensity
1 1 1, 27.60, 59
3 1 -1, 30.68, 43
2 0 1, 31.93, 54
2 0 -2, 32.51, 100
3 1 0, 32.95, 57
0 2 1, 33.28, 100
2 2 -1, 34.62, 84
4 0 -1, 35.95, 46

Starting from a DFT-relaxed cell (GGA-PBE, Alexandria), the X-ray diffraction stick pattern of GaSn12Pb6 was calculated for Cu Kα (λ = 1.5418 Å).

Crystal structure
```
data_GaSn12Pb6
_chemical_formula_sum 'Ga3 Sn36 Pb18'
_symmetry_space_group_name_H-M 'R -3'
_symmetry_Int_Tables_number 148
_symmetry_space_group_name_Hall '-R 3'
_cell_length_a 11.9932
_cell_length_b 11.9932
_cell_length_c 13.7100
_cell_angle_alpha 90.00
_cell_angle_beta 90.00
_cell_angle_gamma 120.00
loop_
_atom_site_label
_atom_site_type_symbol
_atom_site_fract_x
_atom_site_fract_y
_atom_site_fract_z
_atom_site_occupancy
Ga1 Ga 0.0000 0.0000 0.0000 1
Sn1 Sn 0.0609 0.4804 0.7267 1
Sn2 Sn 0.0968 0.2200 0.4195 1
Pb1 Pb 0.0521 0.1922 0.7774 1
```

The 8 most intense peaks (2θ = 10–90°), low angle first:
hkl, 2theta, intensity
1 1 3, 24.49, 23
3 0 0, 25.73, 29
4 -3 1, 31.74, 25
0 3 3, 32.44, 100
3 1 2, 33.77, 53
2 1 4, 34.75, 14
4 -2 3, 35.82, 27
1 4 0, 39.77, 26

Starting from a DFT-relaxed cell (GGA-PBE, Alexandria), the X-ray diffraction stick pattern of TlGaSnPb was calculated for Cu Kα (λ = 1.5418 Å).

Crystal structure
```
data_TlGaSnPb
_chemical_formula_sum 'Tl2 Ga2 Sn2 Pb2'
_symmetry_space_group_name_H-M 'C m m 2'
_symmetry_Int_Tables_number 35
_cell_length_a 4.771
_cell_length_b 4.783
_cell_length_c 9.694
_cell_angle_alpha 90.00
_cell_angle_beta 90.00
_cell_angle_gamma 90.00
loop_
_symmetry_equiv_pos_as_xyz
'x,y,z'
'-x,-y,z'
'-x,y,z'
'x,-y,z'
'x+1/2,y+1/2,z'
'-x+1/2,-y+1/2,z'
'-x+1/2,y+1/2,z'
'x+1/2,-y+1/2,z'
loop_
_atom_site_label
_atom_site_type_symbol
_atom_site_fract_x
_atom_site_fract_y
_atom_site_fract_z
_atom_site_occupancy
Tl1 Tl 0.000 0.000 0.000 1
Ga1 Ga 0.000 0.500 0.241 1
Sn1 Sn 0.000 0.000 0.457 1
Pb1 Pb 0.000 0.500 0.721 1
```

The 8 most intense peaks (2θ = 10–90°), low angle first:
hkl, 2theta, intensity
1 1 1, 27.97, 16
1 1 2, 32.30, 100
0 0 4, 37.10, 15
0 2 0, 37.61, 17
2 0 0, 37.71, 17
2 0 4, 53.90, 21
1 3 2, 64.56, 14
3 1 2, 64.70, 14